For Tb3ErSc5, a PBE-relaxed structure gives the calculated PXRD pattern in this record (Cu Kα (weighted mean of Kα1 and Kα2)).
Kinematic intensities with the Lorentz-polarization factor, no thermal factor.

Largest 8 diffraction maxima, by intensity, 15° ≤ 2θ ≤ 90°:
Position (°2θ)	I_rel
33.1	100
24.7	72
30.5	70
45.3	56
30.3	54
25.0	44
39.5	35
32.9	30

Cell and atoms:
```
18
Lattice="-4.171 4.171 7.119 4.171 -4.171 7.119 4.171 4.171 -7.119" Properties=species:S:1:pos:R:3 pbc="T T T"
Tb 5.161 0.990 0.000
Tb 0.000 0.000 3.560
Tb 0.990 3.180 0.000
Tb 3.180 0.990 7.119
Tb 0.000 0.000 10.679
Tb -0.990 3.180 7.119
Er 4.171 0.000 3.560
Er 0.000 4.171 3.560
Sc 0.000 0.000 0.000
Sc 2.440 1.730 -1.927
Sc 2.440 -1.730 5.192
Sc 2.440 1.730 1.927
Sc 2.440 -1.730 9.046
Sc 0.000 0.000 7.119
Sc 1.730 5.901 -1.927
Sc 1.730 2.440 5.192
Sc 1.730 5.901 1.927
Sc 1.730 2.440 9.046
```